Entry 1:
Diffraction record for Er3Sb3H2. The X-ray diffraction stick pattern is simulated, not measured: it uses a GGA-PBE-relaxed structure and Cu Kα X-rays.
Lines closer than 0.1° are merged.

The 10 most intense peaks (2θ = 5–70°), sorted by position:
two_theta	Rel. int.
29.81	701
31.39	376
32.68	1000
33.80	824
35.78	291
36.24	345
37.39	262
45.89	342
49.23	263
61.58	282

Structural model:
```
Er3Sb3H2
1.0
1.9774 -5.7002 0.0000
1.9774 5.7002 0.0000
0.0000 0.0000 15.0595
Er Sb H
6 6 4
direct
0.1464 0.8536 0.5510
0.1464 0.8536 0.9490
0.1497 0.8503 0.2500
0.8503 0.1497 0.7500
0.8536 0.1464 0.0510
0.8536 0.1464 0.4490
0.1307 0.8693 0.7500
0.4377 0.5623 0.6061
0.4377 0.5623 0.8939
0.5623 0.4377 0.1061
0.5623 0.4377 0.3939
0.8693 0.1307 0.2500
0.2707 0.7293 0.0581
0.2707 0.7293 0.4419
0.7293 0.2707 0.5581
0.7293 0.2707 0.9419
```


Entry 2:
Diffraction record for Er2Sb2H. The X-ray diffraction stick pattern is simulated, not measured: it uses a GGA-PBE-relaxed structure and Cu Kα X-rays.
Lines closer than 0.1° are merged.

The 10 most intense peaks (2θ = 5–70°), sorted by position:
two_theta	Rel. int.
24.29	223
29.31	267
29.55	724
30.93	316
32.28	1000
35.37	213
39.29	607
42.10	379
42.69	343
61.52	246

Structural model:
```
Er2Sb2H
1.0
2.1178 -9.1724 0.0000
2.1178 9.1724 0.0000
0.0000 0.0000 6.0937
Er Sb H
4 4 2
direct
0.0924 0.9076 0.5000
0.3347 0.6653 0.5588
0.6653 0.3347 0.0588
0.9076 0.0924 0.0000
0.2897 0.7103 0.0551
0.4940 0.5060 0.2791
0.5060 0.4940 0.7791
0.7103 0.2897 0.5551
0.1260 0.8740 0.1594
0.8740 0.1260 0.6594
```


Entry 3:
Diffraction record for ErSc2H7. The X-ray diffraction stick pattern is simulated, not measured: it uses a GGA-PBE-relaxed structure and Cu Kα X-rays.
Lines closer than 0.1° are merged.

The 10 most intense peaks (2θ = 5–70°), sorted by position:
two_theta	Rel. int.
12.08	491
24.31	123
26.72	347
31.90	1000
36.82	161
37.10	316
39.16	128
53.26	239
63.25	132
63.64	289

Structural model:
```
ErSc2H7
1.0
-1.7135 1.7135 7.3238
1.7135 -1.7135 7.3238
1.7135 1.7135 -7.3238
Er Sc H
1 2 7
direct
0.0000 0.0000 0.0000
0.3298 0.3298 0.0000
0.6702 0.6702 0.0000
0.0943 0.5943 0.5000
0.2500 0.7500 0.5000
0.4057 0.9057 0.5000
0.5000 0.5000 0.0000
0.5943 0.0943 0.5000
0.7500 0.2500 0.5000
0.9057 0.4057 0.5000
```


Entry 4:
Diffraction record for Er2Si2Tc2H. The X-ray diffraction stick pattern is simulated, not measured: it uses a GGA-PBE-relaxed structure and Cu Kα X-rays.
Lines closer than 0.1° are merged.

The 10 most intense peaks (2θ = 5–70°), sorted by position:
two_theta	Rel. int.
22.76	342
29.17	1000
33.69	898
38.76	332
40.66	923
44.52	618
54.11	366
60.48	359
64.36	170
64.78	200

Structural model:
```
Er2Si2Tc2H
1.0
4.0704 0.0000 0.0000
0.0000 4.0704 0.0000
0.0000 0.0000 13.9390
Er Si Tc H
4 4 4 2
direct
0.0000 0.0000 0.1625
0.0000 0.0000 0.8375
0.5000 0.5000 0.3375
0.5000 0.5000 0.6625
0.0000 0.0000 0.3884
0.0000 0.0000 0.6116
0.5000 0.5000 0.1116
0.5000 0.5000 0.8884
0.0000 0.5000 0.0000
0.0000 0.5000 0.5000
0.5000 0.0000 0.0000
0.5000 0.0000 0.5000
0.0000 0.0000 0.0000
0.5000 0.5000 0.5000
```


Entry 5:
Diffraction record for SmEr3H8. The X-ray diffraction stick pattern is simulated, not measured: it uses a GGA-PBE-relaxed structure and Cu Kα X-rays.
Lines closer than 0.1° are merged.

The 5 most intense peaks (2θ = 5–70°), sorted by position:
two_theta	Rel. int.
29.94	1000
34.71	490
49.90	375
59.30	438
62.22	124

Structural model:
```
SmEr3H8
1.0
5.1687 0.0000 0.0000
0.0000 5.1687 0.0000
0.0000 0.0000 5.1687
Sm Er H
1 3 8
direct
0.0000 0.0000 0.0000
0.0000 0.5000 0.5000
0.5000 0.0000 0.5000
0.5000 0.5000 0.0000
0.2567 0.2567 0.2567
0.2567 0.2567 0.7433
0.2567 0.7433 0.2567
0.2567 0.7433 0.7433
0.7433 0.2567 0.2567
0.7433 0.2567 0.7433
0.7433 0.7433 0.2567
0.7433 0.7433 0.7433
```


Entry 6:
Diffraction record for Er5Sn2H. The X-ray diffraction stick pattern is simulated, not measured: it uses a GGA-PBE-relaxed structure and Cu Kα X-rays.
Lines closer than 0.1° are merged.

The 10 most intense peaks (2θ = 5–70°), sorted by position:
two_theta	Rel. int.
16.40	129
30.92	56
33.15	1000
37.15	362
40.98	138
53.55	128
56.49	228
64.45	300
69.56	126
69.69	116

Structural model:
```
Er5Sn2H
1.0
6.8450 0.0000 0.0000
0.0000 6.8450 0.0000
0.0000 0.0000 8.8097
Er Sn H
10 4 2
direct
0.0000 0.0000 0.0000
0.2493 0.2493 0.7456
0.2493 0.7507 0.7456
0.2507 0.2507 0.2456
0.2507 0.7493 0.2456
0.5000 0.5000 0.5000
0.7493 0.2507 0.2456
0.7493 0.7493 0.2456
0.7507 0.2493 0.7456
0.7507 0.7507 0.7456
0.0000 0.5000 0.4961
0.0000 0.5000 0.9961
0.5000 0.0000 0.4961
0.5000 0.0000 0.9961
0.0000 0.0000 0.2497
0.5000 0.5000 0.7497
```